[1]
# Li6Ag2Pt
Simulated powder diffractogram, Cu Kα. Input: a crystal structure in Alexandria, relaxed with PBE.
No peak broadening, texture or thermal motion is included.

```
data_Li6Ag2Pt
_cell_length_a 7.5480
_cell_length_b 7.5480
_cell_length_c 2.7720
_cell_angle_alpha 90.00
_cell_angle_beta 90.00
_cell_angle_gamma 120.00
_symmetry_space_group_name_H-M 'P 6/m m m'
_symmetry_Int_Tables_number 191
_symmetry_space_group_name_Hall '-P 6 2'
loop_
_atom_site_label
_atom_site_type_symbol
_atom_site_fract_x
_atom_site_fract_y
_atom_site_fract_z
Li1 Li 0.0000 0.3238 0.0000
Ag1 Ag 0.3333 0.6667 0.5000
Pt1 Pt 0.0000 0.0000 0.5000
```

Largest 6 diffraction maxima, in order of rising 2θ, 2θ from 10° to 90°:
d 3.774, I = 100, (1 1 0)
d 2.234, I = 57, (1 1 1)
d 2.179, I = 28, (3 0 0)
d 1.713, I = 20, (3 0 1)
d 1.560, I = 18, (2 2 1)
d 1.268, I = 18, (4 1 1)



[2]
# Li7Ag2Pt
Simulated powder diffractogram, Cu Kα. Input: a crystal structure in Alexandria, relaxed with PBE.
No peak broadening, texture or thermal motion is included.

```
data_Li7Ag2Pt
_cell_length_a 4.3857
_cell_length_b 4.3857
_cell_length_c 9.9492
_cell_angle_alpha 90.00
_cell_angle_beta 90.00
_cell_angle_gamma 120.00
_symmetry_space_group_name_H-M 'P 3 m 1'
_symmetry_Int_Tables_number 156
loop_
_symmetry_equiv_pos_as_xyz
'x,y,z'
'-y,x-y,z'
'-x+y,-x,z'
'-y,-x,z'
'-x+y,y,z'
'x,x-y,z'
loop_
_atom_site_label
_atom_site_type_symbol
_atom_site_fract_x
_atom_site_fract_y
_atom_site_fract_z
Li1 Li 0.0000 0.0000 0.0000
Li2 Li 0.0000 0.0000 0.2306
Li3 Li 0.0000 0.0000 0.7426
Li4 Li 0.3333 0.6667 0.3717
Li5 Li 0.3333 0.6667 0.8243
Li6 Li 0.6667 0.3333 0.1805
Li7 Li 0.6667 0.3333 0.5906
Ag1 Ag 0.0000 0.0000 0.4868
Ag2 Ag 0.6667 0.3333 0.9066
Pt1 Pt 0.3333 0.6667 0.0950
```

Largest 6 diffraction maxima, in order of rising 2θ, 2θ from 10° to 90°:
d 4.975, I = 24, (0 0 2)
d 3.548, I = 100, (1 0 1)
d 3.019, I = 49, (0 1 2)
d 2.498, I = 39, (1 0 3)
d 2.193, I = 35, (1 1 0)
d 2.081, I = 29, (0 1 4)



[3]
# LiAg2Pt
Simulated powder diffractogram, Cu Kα. Input: a crystal structure in Alexandria, relaxed with PBE.
No peak broadening, texture or thermal motion is included.

```
data_LiAg2Pt
_cell_length_a 2.827
_cell_length_b 4.047
_cell_length_c 5.681
_cell_angle_alpha 90.00
_cell_angle_beta 90.00
_cell_angle_gamma 90.00
_symmetry_space_group_name_H-M 'P m m 2'
_symmetry_Int_Tables_number 25
loop_
_symmetry_equiv_pos_as_xyz
'x,y,z'
'-x,-y,z'
'-x,y,z'
'x,-y,z'
loop_
_atom_site_label
_atom_site_type_symbol
_atom_site_fract_x
_atom_site_fract_y
_atom_site_fract_z
Li1 Li 0.000 0.000 0.000
Ag1 Ag 0.000 0.000 0.473
Ag2 Ag 0.500 0.500 0.733
Pt1 Pt 0.500 0.500 0.216
```

Largest 6 diffraction maxima, in order of rising 2θ, 2θ from 10° to 90°:
d 5.681, I = 39, (0 0 1)
d 4.047, I = 42, (0 1 0)
d 2.325, I = 100, (0 1 2)
d 2.318, I = 100, (1 1 0)
d 2.004, I = 64, (1 0 2)
d 1.424, I = 41, (1 2 2)



Question: Number 3 is which compound?
Answer: LiAg2Pt



Question: What is the formula in the second record?
Answer: Li7Ag2Pt



Question: What is the formula in the first record?
Answer: Li6Ag2Pt